This entry pairs a crystal structure of Cs2UCl5F with its calculated X-ray diffraction stick pattern. Radiation: Cu Kα. Structure: the GGA-PBE geometry in Alexandria.

Structural model:
```
data_Cs2UCl5F
_cell_length_a 7.810
_cell_length_b 7.810
_cell_length_c 10.509
_cell_angle_alpha 90.00
_cell_angle_beta 90.00
_cell_angle_gamma 90.00
_symmetry_space_group_name_H-M 'I 4 m m'
_symmetry_Int_Tables_number 107
_symmetry_space_group_name_Hall 'I 4 -2'
loop_
_atom_site_label
_atom_site_type_symbol
_atom_site_fract_x
_atom_site_fract_y
_atom_site_fract_z
_atom_site_occupancy
Cs1 Cs 0.000 0.500 0.000 1
U1 U 0.000 0.000 0.249 1
Cl1 Cl 0.000 0.000 0.498 1
Cl2 Cl 0.240 0.240 0.249 1
F1 F 0.000 0.000 0.051 1
```

Largest 12 diffraction maxima, low angle first, 10° ≤ 2θ ≤ 80°:
| 2θ (°) | intensity |
| --- | --- |
| 14.13 | 99 |
| 22.77 | 44 |
| 23.37 | 100 |
| 26.90 | 38 |
| 28.48 | 18 |
| 32.42 | 55 |
| 34.13 | 23 |
| 40.35 | 49 |
| 41.42 | 18 |
| 46.51 | 19 |
| 47.79 | 34 |
| 58.94 | 18 |